Diffraction record for MnBr4. The XRD peak list is simulated, not measured: it uses a structure optimized by DFT (GGA-PBE) and Cu Kα X-rays.
Intensities are scaled so that the largest is 100.

Main lines, sorted by position (10 to 80 degrees two-theta):
two_theta	I_rel
12.7	58.4
13.5	45.7
19.0	40.6
27.2	33.7
29.3	100.0
31.4	64.6
37.9	45.3
39.6	14.3
41.4	18.8
48.6	22.2
49.3	28.0
50.9	13.4

Cell lengths 7.742, 7.742, 6.315 Å; angles 90.18, 90.18, 64.26 degrees
Atoms (fractional coordinates):
Mn 0.127 0.873 0.750
Mn 0.873 0.127 0.250
Br 0.004 0.204 0.928
Br 0.204 0.004 0.428
Br 0.208 0.564 0.619
Br 0.436 0.792 0.881
Br 0.564 0.208 0.119
Br 0.792 0.436 0.381
Br 0.796 0.996 0.572
Br 0.996 0.796 0.072